[1]
This entry pairs a crystal structure of Sr2H3Pd17 with its theoretical XRD peak list. Radiation: CuKα. Structure: a cell relaxed with PBE.

Top 6 peaks for 10 to 90 degrees two-theta, by angle:
two_theta, I/Imax
33.30, 31
38.64, 63
38.89, 100
39.63, 47
43.64, 92
44.32, 26

Cell lengths 7.046, 7.046, 7.046 Å; angles 82.81, 82.81, 82.81 degrees
Atoms (fractional coordinates):
Sr: 0.162 0.162 0.162
Sr: 0.838 0.838 0.838
H: 0.000 0.000 0.500
H: 0.000 0.500 0.000
H: 0.500 0.000 0.000
Pd: 0.000 0.500 0.500
Pd: 0.153 0.153 0.653
Pd: 0.153 0.653 0.153
Pd: 0.203 0.500 0.797
Pd: 0.203 0.797 0.500
Pd: 0.347 0.847 0.847
Pd: 0.401 0.401 0.401
Pd: 0.500 0.000 0.500
Pd: 0.500 0.203 0.797
Pd: 0.500 0.500 0.000
Pd: 0.500 0.797 0.203
Pd: 0.599 0.599 0.599
Pd: 0.653 0.153 0.153
Pd: 0.797 0.203 0.500
Pd: 0.797 0.500 0.203
Pd: 0.847 0.347 0.847
Pd: 0.847 0.847 0.347

=====

[2]
This entry pairs a crystal structure of SrZrHPd2 with its theoretical XRD peak list. Radiation: CuKα. Structure: a cell relaxed with PBE.

Top 6 peaks for 10 to 90 degrees two-theta, by angle:
two_theta, I/Imax
22.85, 44
28.57, 66
33.38, 61
34.21, 100
45.15, 37
59.13, 40

Cell lengths 5.243, 5.243, 3.892 Å; angles 90.00, 90.00, 90.00 degrees
Atoms (fractional coordinates):
Sr: 0.000 0.000 0.000
Zr: 0.500 0.500 0.500
H: 0.500 0.500 0.000
Pd: 0.000 0.500 0.500
Pd: 0.500 0.000 0.500

=====

[3]
This entry pairs a crystal structure of Tb6HPd2 with its theoretical XRD peak list. Radiation: CuKα. Structure: a cell relaxed with PBE.

Top 6 peaks for 10 to 90 degrees two-theta, by angle:
two_theta, I/Imax
30.55, 82
31.33, 75
31.87, 100
33.23, 74
34.35, 71
56.12, 56

Cell lengths 6.450, 7.016, 11.745 Å; angles 90.00, 123.20, 90.00 degrees
Atoms (fractional coordinates):
Tb: 0.109 0.024 0.250
Tb: 0.109 0.476 0.750
Tb: 0.233 0.678 0.061
Tb: 0.233 0.822 0.561
Tb: 0.388 0.179 0.059
Tb: 0.388 0.321 0.559
Tb: 0.612 0.679 0.441
Tb: 0.612 0.821 0.941
Tb: 0.767 0.178 0.439
Tb: 0.767 0.322 0.939
Tb: 0.891 0.524 0.250
Tb: 0.891 0.976 0.750
H: 0.000 0.000 0.000
H: 0.000 0.500 0.500
Pd: 0.317 0.115 0.749
Pd: 0.317 0.385 0.249
Pd: 0.683 0.615 0.751
Pd: 0.683 0.885 0.251